# BaMoIO6
Simulated powder XRD pattern, CuKα. Input: the PBE+U geometry in Alexandria.

Structure:
Unit cell a=5.3328 b=5.6422 c=5.6811 alpha=88.64 beta=62.62 gamma=87.65
Space group P1 (No. 1)
Unique sites:
1 Ba 0.0000 0.0000 0.0000 (multiplicity 1)
2 Mo 0.6772 0.5022 0.6768 (multiplicity 1)
3 I 0.3443 0.5266 0.3398 (multiplicity 1)
4 O 0.0100 0.7363 0.4222 (multiplicity 1)
5 O 0.0424 0.3505 0.6573 (multiplicity 1)
6 O 0.4161 0.7198 0.5797 (multiplicity 1)
7 O 0.4609 0.2840 0.9054 (multiplicity 1)
8 O 0.5881 0.7210 0.0074 (multiplicity 1)
9 O 0.7007 0.3471 0.3533 (multiplicity 1)

Largest 8 diffraction maxima, in order of rising 2θ, 10 to 90 degrees two-theta:
| Position (°2θ) | intensity |
| --- | --- |
| 15.7 | 38.5 |
| 23.6 | 68.5 |
| 23.7 | 44.6 |
| 24.2 | 100.0 |
| 25.2 | 52.3 |
| 31.6 | 39.9 |
| 33.6 | 39.8 |
| 44.8 | 54.1 |